For HfAl2, the PBE geometry in the Materials Project gives the theoretical powder diffractogram in this record (Cu Kα).
No peak broadening, texture or thermal motion is included.

Most intense lines, 10° ≤ 2θ ≤ 80°, sorted by position:
4.545 Å, 19.53°, intensity 463
4.031 Å, 22.05°, intensity 328
2.624 Å, 34.17°, intensity 786
2.450 Å, 36.68°, intensity 1000
2.249 Å, 40.10°, intensity 732
1.479 Å, 62.82°, intensity 411

Unit cell a=5.248 b=5.248 c=8.727 alpha=90.00 beta=90.00 gamma=120.00
Sites, in units of the cell vectors:
1 Hf 0.333 0.667 0.064
2 Hf 0.333 0.667 0.436
3 Hf 0.667 0.333 0.564
4 Hf 0.667 0.333 0.936
5 Al 0.000 0.000 0.000
6 Al 0.000 0.000 0.500
7 Al 0.171 0.341 0.750
8 Al 0.171 0.829 0.750
9 Al 0.341 0.171 0.250
10 Al 0.659 0.829 0.750
11 Al 0.829 0.171 0.250
12 Al 0.829 0.659 0.250


For Cr3S4, the PBE geometry in the Materials Project gives the theoretical powder diffractogram in this record (Cu Kα).
No peak broadening, texture or thermal motion is included.

Most intense lines, 10° ≤ 2θ ≤ 80°, sorted by position:
5.648 Å, 15.69°, intensity 496
2.677 Å, 33.48°, intensity 1000
2.645 Å, 33.89°, intensity 681
2.077 Å, 43.58°, intensity 932
2.047 Å, 44.26°, intensity 762
1.751 Å, 52.25°, intensity 799

Unit cell a=6.572 b=6.572 c=6.084 alpha=115.95 beta=115.95 gamma=30.64
Sites, in units of the cell vectors:
1 Cr 0.000 0.000 0.000
2 Cr 0.264 0.264 0.280
3 Cr 0.736 0.736 0.720
4 S 0.125 0.125 0.449
5 S 0.366 0.366 0.019
6 S 0.634 0.634 0.981
7 S 0.875 0.875 0.551


For Re3Cl9O5, the PBE geometry in the Materials Project gives the theoretical powder diffractogram in this record (Cu Kα).
No peak broadening, texture or thermal motion is included.

Most intense lines, 10° ≤ 2θ ≤ 80°, sorted by position:
8.796 Å, 10.06°, intensity 219
8.706 Å, 10.16°, intensity 419
7.767 Å, 11.39°, intensity 1000
7.615 Å, 11.62°, intensity 523
5.061 Å, 17.52°, intensity 241
4.240 Å, 20.95°, intensity 230

Unit cell a=15.534 b=10.123 c=10.123 alpha=120.68 beta=90.00 gamma=90.00
Sites, in units of the cell vectors:
1 Re 0.250 0.033 0.967
2 Re 0.250 0.361 0.821
3 Re 0.250 0.885 0.490
4 Re 0.750 0.490 0.885
5 Re 0.750 0.821 0.361
6 Re 0.750 0.967 0.033
7 Cl 0.106 0.925 0.536
8 Cl 0.107 0.032 0.922
9 Cl 0.107 0.312 0.813
10 Cl 0.250 0.154 0.552
11 Cl 0.250 0.297 0.030
12 Cl 0.250 0.819 0.687
13 Cl 0.393 0.032 0.922
14 Cl 0.393 0.312 0.813
15 Cl 0.394 0.925 0.536
16 Cl 0.606 0.536 0.925
17 Cl 0.607 0.813 0.312
18 Cl 0.607 0.922 0.032
19 Cl 0.750 0.030 0.297
20 Cl 0.750 0.552 0.154
21 Cl 0.750 0.687 0.819
22 Cl 0.893 0.813 0.312
23 Cl 0.893 0.922 0.032
24 Cl 0.894 0.536 0.925
25 O 0.124 0.754 0.090
26 O 0.250 0.002 0.116
27 O 0.250 0.544 0.860
28 O 0.250 0.737 0.307
29 O 0.376 0.754 0.090
30 O 0.624 0.090 0.754
31 O 0.750 0.116 0.002
32 O 0.750 0.307 0.737
33 O 0.750 0.860 0.544
34 O 0.876 0.090 0.754


For MgTl3, the PBE geometry in the Materials Project gives the theoretical powder diffractogram in this record (Cu Kα).
No peak broadening, texture or thermal motion is included.

Most intense lines, 10° ≤ 2θ ≤ 80°, sorted by position:
4.094 Å, 21.71°, intensity 250
2.978 Å, 30.00°, intensity 232
2.818 Å, 31.75°, intensity 267
2.633 Å, 34.05°, intensity 1000
1.589 Å, 58.05°, intensity 221
1.468 Å, 63.37°, intensity 227

Unit cell a=6.878 b=6.878 c=5.636 alpha=90.00 beta=90.00 gamma=120.00
Sites, in units of the cell vectors:
1 Mg 0.333 0.667 0.250
2 Mg 0.667 0.333 0.750
3 Tl 0.169 0.337 0.750
4 Tl 0.169 0.831 0.750
5 Tl 0.337 0.169 0.250
6 Tl 0.663 0.831 0.750
7 Tl 0.831 0.169 0.250
8 Tl 0.831 0.663 0.250


For Hf4CN3, the PBE geometry in the Materials Project gives the theoretical powder diffractogram in this record (Cu Kα).
No peak broadening, texture or thermal motion is included.

Most intense lines, 10° ≤ 2θ ≤ 80°, sorted by position:
2.638 Å, 33.98°, intensity 1000
2.285 Å, 39.44°, intensity 668
1.615 Å, 57.01°, intensity 450
1.378 Å, 68.03°, intensity 321
1.377 Å, 68.11°, intensity 106
1.320 Å, 71.50°, intensity 114

Unit cell a=10.703 b=10.703 c=10.703 alpha=17.37 beta=17.37 gamma=17.37
Sites, in units of the cell vectors:
1 Hf 0.126 0.126 0.126
2 Hf 0.374 0.374 0.374
3 Hf 0.626 0.626 0.626
4 Hf 0.874 0.874 0.874
5 C 0.000 0.000 0.000
6 N 0.249 0.249 0.249
7 N 0.500 0.500 0.500
8 N 0.751 0.751 0.751